(1)
Structure and simulated XRD peak list of TiVRe2 (DFT lattice parameters and positions (GGA-PBE); λ = 1.5418 Å (Cu Kα)).
Kinematic intensities with the Lorentz-polarization factor, no thermal factor.

Cell and atoms:
```
data_TiVRe2
_symmetry_space_group_name_H-M 'F m -3 m'
_symmetry_Int_Tables_number 225
_symmetry_space_group_name_Hall '-F 4 2 3'
_cell_length_a 6.1580
_cell_length_b 6.1580
_cell_length_c 6.1580
_cell_angle_alpha 90.00
_cell_angle_beta 90.00
_cell_angle_gamma 90.00
loop_
_atom_site_label
_atom_site_type_symbol
_atom_site_fract_x
_atom_site_fract_y
_atom_site_fract_z
_atom_site_occupancy
Ti1 Ti 0.0000 0.0000 0.0000 1
V1 V 0.0000 0.0000 0.5000 1
Re1 Re 0.2500 0.2500 0.2500 1
```

Principal peaks in the range 10° ≤ 2θ ≤ 80°, low angle first:
- (2 0 0), 29.00 deg, intensity 43.3
- (2 2 0), 41.48 deg, intensity 100.0
- (2 2 2), 51.40 deg, intensity 12.7
- (4 0 0), 60.10 deg, intensity 16.6
- (4 2 0), 68.09 deg, intensity 17.1
- (4 2 2), 75.66 deg, intensity 33.5

***

(2)
Structure and simulated XRD peak list of TiRe2W (DFT lattice parameters and positions (GGA-PBE); λ = 1.5418 Å (Cu Kα)).
Kinematic intensities with the Lorentz-polarization factor, no thermal factor.

Cell and atoms:
```
data_TiRe2W
_symmetry_space_group_name_H-M 'F m -3 m'
_symmetry_Int_Tables_number 225
_symmetry_space_group_name_Hall '-F 4 2 3'
_cell_length_a 6.2725
_cell_length_b 6.2725
_cell_length_c 6.2725
_cell_angle_alpha 90.00
_cell_angle_beta 90.00
_cell_angle_gamma 90.00
loop_
_atom_site_label
_atom_site_type_symbol
_atom_site_fract_x
_atom_site_fract_y
_atom_site_fract_z
_atom_site_occupancy
Ti1 Ti 0.0000 0.0000 0.0000 1
Re1 Re 0.2500 0.2500 0.2500 1
W1 W 0.0000 0.0000 0.5000 1
```

Principal peaks in the range 10° ≤ 2θ ≤ 80°, low angle first:
- (1 1 1), 24.58 deg, intensity 12.2
- (2 0 0), 28.46 deg, intensity 6.9
- (2 2 0), 40.68 deg, intensity 100.0
- (3 1 1), 48.11 deg, intensity 6.5
- (2 2 2), 50.40 deg, intensity 2.0
- (4 0 0), 58.89 deg, intensity 16.9
- (3 3 1), 64.79 deg, intensity 2.8
- (4 2 0), 66.69 deg, intensity 2.8
- (4 2 2), 74.04 deg, intensity 34.5
- (5 1 1), 79.38 deg, intensity 2.1